[1]
Structure and theoretical powder XRD pattern of Cs2LaSmSe4 (the PBE geometry in Alexandria; Cu Kα).

Structural model:
```
Cs2LaSmSe4
1.0
7.6658 0.0000 0.0000
0.0000 4.4249 0.0000
-2.5508 0.0000 8.3935
Cs La Sm Se
2 1 1 4
direct
0.0000 0.0000 0.0000
0.5000 0.5000 0.0000
0.0000 0.5000 0.5000
0.5000 0.0000 0.5000
0.2362 0.0000 0.6905
0.2763 0.5000 0.3111
0.7237 0.5000 0.6889
0.7638 0.0000 0.3095
```

Peak list (12 most intense, 10 to 90 degrees two-theta, in order of rising 2θ)
two_theta  I/Imax
10.54  9
21.17  9
24.28  11
27.24  100
36.96  33
40.78  37
42.98  9
49.74  19
56.20  10
60.84  10
66.20  16
71.73  9


[2]
Structure and theoretical powder XRD pattern of Ba4AgH (the PBE geometry in Alexandria; Cu Kα).

Structural model:
```
Ba4AgH
1.0
7.6076 0.0000 0.0000
0.0000 9.4616 0.0000
-0.0893 0.0000 7.9007
Ba Ag H
8 2 2
direct
0.2086 0.2500 0.1735
0.2349 0.7500 0.1598
0.2551 0.5165 0.6851
0.2551 0.9835 0.6851
0.7449 0.0165 0.3149
0.7449 0.4835 0.3149
0.7651 0.2500 0.8402
0.7914 0.7500 0.8265
0.4813 0.2500 0.5106
0.5187 0.7500 0.4894
0.1382 0.7500 0.8380
0.8618 0.2500 0.1620
```

Peak list (12 most intense, 10 to 90 degrees two-theta, in order of rising 2θ)
two_theta  I/Imax
23.39  26
24.80  100
24.93  30
25.29  11
25.53  40
32.35  23
32.49  16
38.04  18
39.15  32
42.13  22
46.29  11
46.37  15


[3]
Structure and theoretical powder XRD pattern of Ba3CdIr2O9 (the PBE geometry in Alexandria; Cu Kα).

Structural model:
```
Ba3CdIr2O9
1.0
2.9957 -5.1462 0.0000
2.9957 5.1462 0.0000
-0.5907 0.0000 14.7624
Ba Cd Ir O
6 2 4 18
direct
0.0077 0.9923 0.7500
0.3249 0.6615 0.4152
0.3385 0.6751 0.0848
0.6615 0.3249 0.9152
0.6751 0.3385 0.5848
0.9923 0.0077 0.2500
0.0000 0.0000 0.0000
0.0000 0.0000 0.5000
0.3174 0.6459 0.8364
0.3541 0.6826 0.6636
0.6459 0.3174 0.3364
0.6826 0.3541 0.1636
0.0301 0.5099 0.7373
0.1377 0.7797 0.9107
0.1401 0.3159 0.8980
0.2204 0.3974 0.5736
0.2203 0.8623 0.5893
0.3159 0.1401 0.3980
0.3974 0.2204 0.0736
0.4901 0.9699 0.7627
0.4905 0.5095 0.7500
0.5095 0.4905 0.2500
0.5099 0.0301 0.2373
0.6026 0.7796 0.9264
0.6841 0.8599 0.6020
0.7797 0.1377 0.4107
0.7796 0.6026 0.4264
0.8599 0.6841 0.1020
0.8623 0.2203 0.0893
0.9699 0.4901 0.2627
```

Peak list (12 most intense, 10 to 90 degrees two-theta, in order of rising 2θ)
two_theta  I/Imax
17.97  15
18.26  16
18.36  19
29.23  28
29.83  74
30.02  100
30.23  19
35.04  17
45.84  16
53.09  20
53.44  14
62.39  17


[4]
Structure and theoretical powder XRD pattern of Sc2AlTcB (the PBE geometry in Alexandria; Cu Kα).

Structural model:
```
Sc2AlTcB
1.0
4.6272 0.0000 0.0000
0.0000 4.6272 0.0000
0.0000 0.0000 4.0333
Sc Al Tc B
2 1 1 1
direct
0.0000 0.5000 0.0000
0.5000 0.0000 0.0000
0.0000 0.0000 0.5000
0.5000 0.5000 0.5000
0.5000 0.5000 0.0000
```

Peak list (12 most intense, 10 to 90 degrees two-theta, in order of rising 2θ)
two_theta  I/Imax
19.18  37
29.38  16
35.32  100
38.93  44
43.75  8
44.95  14
49.51  8
56.23  14
60.94  22
68.17  27
74.72  11
76.62  9


[5]
Structure and theoretical powder XRD pattern of TcPt (the PBE geometry in Alexandria; Cu Kα).

Structural model:
```
TcPt
1.0
2.7857 0.0000 0.0000
0.0000 4.4277 0.0000
0.0000 0.0000 4.8588
Tc Pt
2 2
direct
0.2500 0.2500 0.0839
0.7500 0.7500 0.9161
0.2500 0.7500 0.4092
0.7500 0.2500 0.5908
```

Peak list (12 most intense, 10 to 90 degrees two-theta, in order of rising 2θ)
two_theta  I/Imax
18.26  18
37.20  28
40.76  39
42.44  56
42.62  100
56.36  17
66.82  18
75.35  10
75.48  19
81.31  21
81.68  11
82.80  16


[6]
Structure and theoretical powder XRD pattern of CaCu2Ni (the PBE geometry in Alexandria; Cu Kα).

Structural model:
```
CaCu2Ni
1.0
7.1449 0.0000 0.0000
0.0000 4.1223 0.0000
-2.3571 0.0000 4.8437
Ca Cu Ni
2 4 2
direct
0.0000 0.0000 0.0000
0.5000 0.5000 0.0000
0.1951 0.0000 0.5854
0.3049 0.5000 0.4146
0.6951 0.5000 0.5854
0.8049 0.0000 0.4146
0.0000 0.5000 0.5000
0.5000 0.0000 0.5000
```

Peak list (12 most intense, 10 to 90 degrees two-theta, in order of rising 2θ)
two_theta  I/Imax
18.32  100
35.20  35
35.33  17
37.12  25
40.05  17
43.91  93
47.87  16
48.00  32
58.67  12
58.83  12
69.82  13
80.72  13